Record 1
Diffraction record for Tb4Sm3Ho4. The powder X-ray diffraction pattern is computed, not measured: it uses a DFT-relaxed cell (PBE, Alexandria) and Cu Kα (weighted mean of Kα1 and Kα2).
Intensities are scaled so that the largest is 100.

Largest 12 diffraction maxima, sorted by position, 2θ from 10° to 90°:
| (hkl) | Position (°2θ) | d [Å] | Rel. int. |
| --- | --- | --- | --- |
| 3 1 1 | 30.75 | 2.908 | 28.4 |
| 1 0 4 | 30.92 | 2.892 | 15.5 |
| 0 2 0 | 31.47 | 2.843 | 36.9 |
| 2 1 3 | 32.14 | 2.785 | 100.0 |
| 4 0 0 | 33.90 | 2.644 | 16.1 |
| 1 2 4 | 44.70 | 2.027 | 11.3 |
| 4 2 0 | 46.93 | 1.936 | 13.0 |
| 5 0 4 | 52.92 | 1.730 | 10.3 |
| 2 3 3 | 56.45 | 1.630 | 20.3 |
| 3 1 7 | 62.30 | 1.490 | 13.6 |
| 5 2 4 | 62.88 | 1.478 | 12.2 |
| 7 1 7 | 87.71 | 1.113 | 7.1 |

Crystal structure
a = 10.578 Å, b = 5.686 Å, c = 12.026 Å
α = 90.00°, β = 90.00°, γ = 90.00°
Space group Amm2 (No. 38)
Asymmetric unit:
Tb  0.000  0.000  0.000 (multiplicity 2)
Tb  0.210  0.000  0.481 (multiplicity 4)
Tb  0.500  0.000  0.932 (multiplicity 2)
Sm  0.203  0.000  0.785 (multiplicity 4)
Sm  0.500  0.000  0.634 (multiplicity 2)
Ho  0.000  0.000  0.272 (multiplicity 2)
Ho  0.288  0.000  0.134 (multiplicity 4)
Ho  0.500  0.000  0.336 (multiplicity 2)

=====

Record 2
Diffraction record for LaP4Ir5. The powder X-ray diffraction pattern is computed, not measured: it uses a DFT-relaxed cell (PBE, Alexandria) and Cu Kα (weighted mean of Kα1 and Kα2).
Intensities are scaled so that the largest is 100.

Largest 12 diffraction maxima, sorted by position, 2θ from 10° to 90°:
| (hkl) | Position (°2θ) | d [Å] | Rel. int. |
| --- | --- | --- | --- |
| 0 1 1 | 14.97 | 5.919 | 37.3 |
| 0 2 2 | 30.20 | 2.959 | 100.0 |
| 1 0 -3 | 31.26 | 2.861 | 62.5 |
| 1 0 3 | 31.36 | 2.852 | 64.5 |
| 1 2 0 | 33.63 | 2.665 | 26.9 |
| 1 2 1 | 34.52 | 2.598 | 50.5 |
| 1 2 -2 | 37.10 | 2.423 | 28.5 |
| 1 2 -3 | 41.09 | 2.197 | 67.9 |
| 2 0 -2 | 45.67 | 1.986 | 28.6 |
| 2 0 2 | 45.77 | 1.982 | 30.0 |
| 0 0 6 | 46.83 | 1.940 | 37.1 |
| 2 2 0 | 50.76 | 1.799 | 39.5 |

Crystal structure
a = 4.221 Å, b = 6.873 Å, c = 11.641 Å
α = 90.00°, β = 90.18°, γ = 90.00°
Space group P2_1/m (No. 11)
Asymmetric unit:
La  0.062  0.250  0.251 (multiplicity 2)
P  0.220  0.750  0.035 (multiplicity 2)
P  0.221  0.750  0.464 (multiplicity 2)
P  0.471  0.067  0.750 (multiplicity 4)
Ir  0.034  0.750  0.251 (multiplicity 2)
Ir  0.256  0.041  0.931 (multiplicity 4)
Ir  0.257  0.040  0.569 (multiplicity 4)